No. 1
Starting from a structure optimized by DFT (PBE), the XRD peak list of Te2Mo3WSe4S2 was simulated for Cu Kα.
No peak broadening, texture or thermal motion is included.

Peak list (6 most intense, 2θ = 15–90°, in order of falling intensity)
| 2θ (°) | d/Å | intensity | hkl |
| --- | --- | --- | --- |
| 36.31 | 2.474 | 100 | 0 1 8 |
| 44.00 | 2.058 | 57 | 1 0 13 |
| 30.87 | 2.896 | 49 | 1 0 0 |
| 54.88 | 1.673 | 35 | 1 1 0 |
| 39.09 | 2.304 | 22 | 0 1 10 |
| 33.08 | 2.708 | 18 | 1 0 5 |

```
data_Te2Mo3WSe4S2
_chemical_formula_sum 'Te2 Mo3 W1 Se4 S2'
_symmetry_space_group_name_H-M 'P 3 m 1'
_symmetry_Int_Tables_number 156
_symmetry_space_group_name_Hall 'P 3 -2"'
_cell_length_a 3.3462
_cell_length_b 3.3462
_cell_length_c 38.0056
_cell_angle_alpha 90.00
_cell_angle_beta 90.00
_cell_angle_gamma 120.00
loop_
_atom_site_label
_atom_site_type_symbol
_atom_site_fract_x
_atom_site_fract_y
_atom_site_fract_z
_atom_site_occupancy
Te1 Te 0.0000 0.0000 0.0000 1
Te2 Te 0.0000 0.0000 0.1003 1
Mo1 Mo 0.0000 0.0000 0.4865 1
Mo2 Mo 0.0000 0.0000 0.8622 1
Mo3 Mo 0.3333 0.6667 0.6744 1
W1 W 0.3333 0.6667 0.0502 1
Se1 Se 0.3333 0.6667 0.4427 1
Se2 Se 0.3333 0.6667 0.5303 1
Se3 Se 0.3333 0.6667 0.8184 1
Se4 Se 0.3333 0.6667 0.9060 1
S1 S 0.0000 0.0000 0.6344 1
S2 S 0.0000 0.0000 0.7143 1
```


No. 2
Starting from a structure optimized by DFT (PBE), the XRD peak list of Te2Mo3WSe4S2 was simulated for Cu Kα.
No peak broadening, texture or thermal motion is included.

Peak list (6 most intense, 2θ = 15–90°, in order of falling intensity)
| 2θ (°) | d/Å | intensity | hkl |
| --- | --- | --- | --- |
| 35.86 | 2.504 | 100 | 1 0 8 |
| 42.98 | 2.104 | 80 | 0 1 13 |
| 30.88 | 2.896 | 62 | 1 0 0 |
| 54.89 | 1.673 | 47 | 1 1 0 |
| 44.66 | 2.029 | 27 | 1 0 14 |
| 37.10 | 2.424 | 26 | 1 0 9 |

```
data_Te2Mo3WSe4S2
_chemical_formula_sum 'Te2 Mo3 W1 Se4 S2'
_symmetry_space_group_name_H-M 'P 3 m 1'
_symmetry_Int_Tables_number 156
_symmetry_space_group_name_Hall 'P 3 -2"'
_cell_length_a 3.3462
_cell_length_b 3.3462
_cell_length_c 39.7862
_cell_angle_alpha 90.00
_cell_angle_beta 90.00
_cell_angle_gamma 120.00
loop_
_atom_site_label
_atom_site_type_symbol
_atom_site_fract_x
_atom_site_fract_y
_atom_site_fract_z
_atom_site_occupancy
Te1 Te 0.0000 0.0000 0.0000 1
Te2 Te 0.0000 0.0000 0.0959 1
Mo1 Mo 0.0000 0.0000 0.2371 1
Mo2 Mo 0.0000 0.0000 0.8590 1
Mo3 Mo 0.6667 0.3333 0.6722 1
W1 W 0.6667 0.3333 0.0479 1
Se1 Se 0.6667 0.3333 0.1952 1
Se2 Se 0.6667 0.3333 0.2790 1
Se3 Se 0.6667 0.3333 0.8172 1
Se4 Se 0.6667 0.3333 0.9009 1
S1 S 0.0000 0.0000 0.6341 1
S2 S 0.0000 0.0000 0.7104 1
```


No. 3
Starting from a structure optimized by DFT (PBE), the XRD peak list of Te2MoW3Se2S4 was simulated for Cu Kα.
No peak broadening, texture or thermal motion is included.

Peak list (6 most intense, 2θ = 15–90°, in order of falling intensity)
| 2θ (°) | d/Å | intensity | hkl |
| --- | --- | --- | --- |
| 36.22 | 2.480 | 100 | 1 0 8 |
| 43.33 | 2.088 | 65 | 0 1 13 |
| 31.25 | 2.862 | 51 | 1 0 0 |
| 55.58 | 1.653 | 35 | 1 1 0 |
| 33.25 | 2.694 | 21 | 1 0 5 |
| 45.00 | 2.014 | 21 | 0 1 14 |

```
data_Te2MoW3Se2S4
_chemical_formula_sum 'Te2 Mo1 W3 Se2 S4'
_symmetry_space_group_name_H-M 'P 3 m 1'
_symmetry_Int_Tables_number 156
_symmetry_space_group_name_Hall 'P 3 -2"'
_cell_length_a 3.3075
_cell_length_b 3.3075
_cell_length_c 39.6687
_cell_angle_alpha 90.00
_cell_angle_beta 90.00
_cell_angle_gamma 120.00
loop_
_atom_site_label
_atom_site_type_symbol
_atom_site_fract_x
_atom_site_fract_y
_atom_site_fract_z
_atom_site_occupancy
Te1 Te 0.0000 0.0000 0.0000 1
Te2 Te 0.0000 0.0000 0.0971 1
Mo1 Mo 0.0000 0.0000 0.8585 1
W1 W 0.0000 0.0000 0.2364 1
W2 W 0.3333 0.6667 0.0486 1
W3 W 0.3333 0.6667 0.4237 1
Se1 Se 0.3333 0.6667 0.8162 1
Se2 Se 0.3333 0.6667 0.9009 1
S1 S 0.0000 0.0000 0.3850 1
S2 S 0.0000 0.0000 0.4623 1
S3 S 0.3333 0.6667 0.1977 1
S4 S 0.3333 0.6667 0.2750 1
```